Mg2B3Ir5: calculated powder diffraction line list (CuKα), based on DFT lattice parameters and positions (PBE).

Cell and atoms:
Cell: 3.764 21.585 6.219 Å, 90.00 90.00 90.00°
Space group Cmc2_1 (No. 36)
Asymmetric unit:
Mg (0.000, 0.029, 0.000)
Mg (0.000, 0.325, 0.983)
B (0.000, 0.105, 0.286)
B (0.000, 0.269, 0.457)
B (0.000, 0.461, 0.182)
Ir (0.000, 0.088, 0.636)
Ir (0.000, 0.197, 0.183)
Ir (0.000, 0.214, 0.759)
Ir (0.000, 0.369, 0.431)
Ir (0.000, 0.444, 0.815)

Principal peaks in the range 5 to 70 degrees two-theta, in order of falling intensity:
hkl 1 7 0, 37.74°, I 100; hkl 1 5 1, 34.76°, I 71; hkl 1 3 2, 39.63°, I 67; hkl 0 8 2, 44.46°, I 48; hkl 0 4 1, 21.81°, I 44; hkl 2 0 0, 48.36°, I 44; hkl 1 3 1, 30.41°, I 43; hkl 0 0 2, 28.69°, I 35; hkl 0 4 3, 46.95°, I 31; hkl 1 7 1, 40.50°, I 31

***

Mg10B16Ir19: calculated powder diffraction line list (CuKα), based on DFT lattice parameters and positions (PBE).

Cell and atoms:
Cell: 10.641 10.641 10.641 Å, 90.00 90.00 90.00°
Space group I-43m (No. 217)
Asymmetric unit:
Mg (0.000, 0.000, 0.347)
Mg (0.167, 0.167, 0.167)
B (0.088, 0.336, 0.336)
B (0.111, 0.111, 0.889)
Ir (0.000, 0.000, 0.000)
Ir (0.000, 0.250, 0.500)
Ir (0.070, 0.252, 0.748)

Principal peaks in the range 5 to 70 degrees two-theta, in order of falling intensity:
hkl 2 1 1, 20.44°, I 100; hkl 4 0 0, 33.69°, I 93; hkl 3 2 1, 31.46°, I 78; hkl 4 2 2, 41.58°, I 58; hkl 4 1 1, 35.80°, I 35; hkl 4 4 0, 48.39°, I 34; hkl 4 3 1, 43.36°, I 32; hkl 6 0 0, 51.53°, I 32; hkl 5 3 2, 53.05°, I 31; hkl 5 2 1, 46.76°, I 30